# 1
Computed X-ray diffraction stick pattern of KAuS12I4 for Cu Kα, 1.54184 Å, from a structure optimized by DFT (PBE).
Kinematic intensities with the Lorentz-polarization factor, no thermal factor.

Most intense lines, 2θ = 10–90°, in order of falling intensity:
- 2θ 23.27, intensity 100
- 2θ 26.36, intensity 62
- 2θ 16.42, intensity 58
- 2θ 32.65, intensity 53
- 2θ 23.08, intensity 47
- 2θ 26.84, intensity 47
- 2θ 18.93, intensity 44
- 2θ 21.05, intensity 44
- 2θ 29.05, intensity 42
- 2θ 20.26, intensity 41
- 2θ 17.79, intensity 34
- 2θ 24.66, intensity 28

```
18
Lattice="6.805 0.000 0.000 0.230 9.423 0.000 2.380 1.011 9.379" Properties=species:S:1:pos:R:3 pbc="T T T"
K 0.000 0.000 0.000
Au 5.478 4.755 2.760
S 3.813 3.469 5.576
S 3.699 7.467 1.255
S 4.916 2.846 4.034
S 4.143 1.705 0.845
S 5.863 7.491 5.650
S 5.623 9.039 4.498
S 5.516 6.676 1.289
S 5.640 3.164 0.732
S 6.769 5.794 4.701
S 8.041 5.150 8.427
S 7.343 0.901 5.256
S 8.415 9.061 6.422
I 1.895 6.613 3.337
I 1.851 1.252 2.989
I 4.535 7.337 8.943
I 5.090 3.106 7.774
```

---

# 2
Computed X-ray diffraction stick pattern of Nd2Er2SiI5 for Cu Kα, 1.54184 Å, from a structure optimized by DFT (PBE).
Kinematic intensities with the Lorentz-polarization factor, no thermal factor.

Most intense lines, 2θ = 10–90°, in order of falling intensity:
- 2θ 28.79, intensity 100
- 2θ 28.39, intensity 57
- 2θ 40.60, intensity 31
- 2θ 41.14, intensity 30
- 2θ 31.73, intensity 21
- 2θ 52.01, intensity 18
- 2θ 42.63, intensity 18
- 2θ 39.67, intensity 18
- 2θ 15.12, intensity 12
- 2θ 19.30, intensity 12
- 2θ 59.64, intensity 11
- 2θ 26.10, intensity 10

```
10
Lattice="9.665 -2.121 0.000 9.665 2.121 0.000 -1.973 0.000 8.873" Properties=species:S:1:pos:R:3 pbc="T T T"
Nd -0.554 0.000 2.546
Nd 17.910 0.000 6.327
Er 6.062 0.000 3.800
Er 11.294 0.000 5.073
Si 8.678 0.000 4.437
I 1.657 0.000 7.290
I 2.702 0.000 3.068
I 9.665 0.000 0.000
I 14.654 0.000 5.805
I 15.700 0.000 1.583
```

---

# 3
Computed X-ray diffraction stick pattern of CuAg for Cu Kα, 1.54184 Å, from a structure optimized by DFT (PBE).
Kinematic intensities with the Lorentz-polarization factor, no thermal factor.

Most intense lines, 2θ = 10–90°, in order of falling intensity:
- 2θ 39.59, intensity 100
- 2θ 46.10, intensity 62
- 2θ 39.76, intensity 50
- 2θ 40.52, intensity 42
- 2θ 46.90, intensity 28
- 2θ 67.34, intensity 19
- 2θ 82.13, intensity 17
- 2θ 68.40, intensity 14
- 2θ 80.34, intensity 11
- 2θ 66.48, intensity 10
- 2θ 81.16, intensity 10
- 2θ 80.84, intensity 10

```
10
Lattice="4.799 0.000 0.000 0.000 2.813 0.000 -1.461 0.000 11.131" Properties=species:S:1:pos:R:3 pbc="T T T"
Cu 0.000 0.000 0.000
Cu -0.831 1.406 9.102
Cu 1.848 0.000 8.930
Cu 2.498 1.406 6.872
Cu 3.255 0.000 4.740
Ag 0.043 0.000 7.000
Ag 0.891 1.406 4.685
Ag 1.631 0.000 2.302
Ag 0.963 1.406 11.047
Ag 4.024 1.406 2.354
```

---

Repeat the third record exactly.
Computed X-ray diffraction stick pattern of CuAg for Cu Kα, 1.54184 Å, from a structure optimized by DFT (PBE).
Kinematic intensities with the Lorentz-polarization factor, no thermal factor.

Most intense lines, 2θ = 10–90°, in order of falling intensity:
- 2θ 39.59, intensity 100
- 2θ 46.10, intensity 62
- 2θ 39.76, intensity 50
- 2θ 40.52, intensity 42
- 2θ 46.90, intensity 28
- 2θ 67.34, intensity 19
- 2θ 82.13, intensity 17
- 2θ 68.40, intensity 14
- 2θ 80.34, intensity 11
- 2θ 66.48, intensity 10
- 2θ 81.16, intensity 10
- 2θ 80.84, intensity 10

```
10
Lattice="4.799 0.000 0.000 0.000 2.813 0.000 -1.461 0.000 11.131" Properties=species:S:1:pos:R:3 pbc="T T T"
Cu 0.000 0.000 0.000
Cu -0.831 1.406 9.102
Cu 1.848 0.000 8.930
Cu 2.498 1.406 6.872
Cu 3.255 0.000 4.740
Ag 0.043 0.000 7.000
Ag 0.891 1.406 4.685
Ag 1.631 0.000 2.302
Ag 0.963 1.406 11.047
Ag 4.024 1.406 2.354
```

---

What did the second record say?
Computed X-ray diffraction stick pattern of Nd2Er2SiI5 for Cu Kα, 1.54184 Å, from a structure optimized by DFT (PBE).
Kinematic intensities with the Lorentz-polarization factor, no thermal factor.

Most intense lines, 2θ = 10–90°, in order of falling intensity:
- 2θ 28.79, intensity 100
- 2θ 28.39, intensity 57
- 2θ 40.60, intensity 31
- 2θ 41.14, intensity 30
- 2θ 31.73, intensity 21
- 2θ 52.01, intensity 18
- 2θ 42.63, intensity 18
- 2θ 39.67, intensity 18
- 2θ 15.12, intensity 12
- 2θ 19.30, intensity 12
- 2θ 59.64, intensity 11
- 2θ 26.10, intensity 10

```
10
Lattice="9.665 -2.121 0.000 9.665 2.121 0.000 -1.973 0.000 8.873" Properties=species:S:1:pos:R:3 pbc="T T T"
Nd -0.554 0.000 2.546
Nd 17.910 0.000 6.327
Er 6.062 0.000 3.800
Er 11.294 0.000 5.073
Si 8.678 0.000 4.437
I 1.657 0.000 7.290
I 2.702 0.000 3.068
I 9.665 0.000 0.000
I 14.654 0.000 5.805
I 15.700 0.000 1.583
```